Starting from a DFT-relaxed cell (PBE, Alexandria), the XRD peak list of PmTm2Al4 was computed for Cu Kα (λ = 1.5418 Å).
Lines closer than 0.1° are merged.

Top 8 peaks for 2θ = 10–90°, by angle:
2θ/deg, d_spacing, I (rel.), hkl
23.93, 3.719, 73, 0 1 3
32.99, 2.715, 100, 1 1 2
33.74, 2.657, 62, 1 0 5
37.82, 2.379, 40, 0 1 7
39.83, 2.263, 25, 0 2 0
49.27, 1.850, 21, 1 1 8
53.16, 1.723, 34, 1 2 5
66.14, 1.413, 21, 2 2 0

Structure:
abc: 3.6183 4.5270 19.5691
angles: 90.00 90.00 90.00
Space group Immm (No. 71)
Inequivalent atoms, fractional coordinates:
Pm  0.0000  0.0000  0.0000 (multiplicity 2)
Tm  0.0000  0.5000  0.1961 (multiplicity 4)
Al  0.0000  0.0000  0.4318 (multiplicity 4)
Al  0.0000  0.5000  0.3574 (multiplicity 4)